Entry 1:
This entry pairs a crystal structure of Ge2RuRh with its theoretical X-ray powder pattern. Radiation: Cu Kα (weighted mean of Kα1 and Kα2). Structure: DFT lattice parameters and positions (GGA-PBE).
Intensities are scaled so that the largest is 100.

Peak list (5 most intense, 5° ≤ 2θ ≤ 70°, by angle)
h k l  d (Å)  I (rel.)
2 0 0  3.065  4
2 2 0  2.167  100
2 2 2  1.770  1
4 0 0  1.533  16
4 2 0  1.371  1

Atomic structure:
Unit cell a=6.1302 b=6.1302 c=6.1302 alpha=90.00 beta=90.00 gamma=90.00
Space group Fm-3m (No. 225)
Unique sites:
Ge: 0.2500 0.2500 0.2500 [8 per cell]
Ru: 0.0000 0.0000 0.0000 [4 per cell]
Rh: 0.0000 0.0000 0.5000 [4 per cell]

Entry 2:
This entry pairs a crystal structure of GeRhS with its theoretical X-ray powder pattern. Radiation: Cu Kα (weighted mean of Kα1 and Kα2). Structure: DFT lattice parameters and positions (GGA-PBE).
Intensities are scaled so that the largest is 100.

Peak list (10 most intense, 5° ≤ 2θ ≤ 70°, by angle)
h k l  d (Å)  I (rel.)
0 1 -1  4.617  100
1 -1 0  3.107  50
1 1 -1  2.939  19
1 1 0  2.849  27
0 0 2  2.783  44
1 1 1  2.264  21
1 -2 1  2.184  41
1 2 -1  2.080  19
0 1 -3  2.027  27
-1 1 2  1.902  33

Atomic structure:
Unit cell a=3.8605 b=5.1306 c=6.0928 alpha=113.42 beta=93.69 gamma=93.16
Space group P-1 (No. 2)
Unique sites:
Ge: 0.2345 0.0341 0.3376 [2 per cell]
Rh: 0.3128 0.3040 0.7856 [2 per cell]
S: 0.1908 0.3907 0.1853 [2 per cell]